1.
This entry pairs a crystal structure of Pm3Al7Ni4 with its simulated powder diffractogram. Radiation: Cu Kα (weighted mean of Kα1 and Kα2). Structure: a structure optimized by DFT (GGA-PBE).

Most intense lines, 10° ≤ 2θ ≤ 80°, in order of rising 2θ:
2θ (°), d [Å], I/Imax
18.90, 4.696, 32
22.66, 3.924, 49
23.39, 3.803, 60
30.17, 2.962, 83
35.24, 2.547, 94
35.90, 2.501, 99
36.43, 2.467, 100
36.58, 2.456, 70
43.51, 2.080, 63
58.12, 1.587, 34

Structural model:
a = 7.975 Å, b = 7.975 Å, c = 9.405 Å
α = 123.34°, β = 123.34°, γ = 30.23°
Element x y z (fractional)
Pm  0.000  0.000  0.000
Pm  0.309  0.309  0.303
Pm  0.691  0.691  0.697
Al  0.000  0.000  0.500
Al  0.157  0.157  0.422
Al  0.319  0.319  0.978
Al  0.494  0.494  0.712
Al  0.506  0.506  0.288
Al  0.681  0.681  0.022
Al  0.843  0.843  0.578
Ni  0.116  0.116  0.839
Ni  0.337  0.337  0.715
Ni  0.663  0.663  0.285
Ni  0.884  0.884  0.161



2.
This entry pairs a crystal structure of Pm3Al5Ni6 with its simulated powder diffractogram. Radiation: Cu Kα (weighted mean of Kα1 and Kα2). Structure: a structure optimized by DFT (GGA-PBE).

Most intense lines, 10° ≤ 2θ ≤ 80°, in order of rising 2θ:
2θ (°), d [Å], I/Imax
23.10, 3.850, 36
23.99, 3.709, 28
30.43, 2.937, 15
36.45, 2.465, 100
37.07, 2.425, 25
39.77, 2.267, 16
42.52, 2.126, 28
42.74, 2.116, 17
50.83, 1.796, 12
57.66, 1.599, 14

Structural model:
a = 7.889 Å, b = 7.889 Å, c = 7.889 Å
α = 148.73°, β = 109.86°, γ = 78.79°
Element x y z (fractional)
Pm  0.000  0.000  0.000
Pm  0.315  0.315  0.000
Pm  0.685  0.685  0.000
Al  0.014  0.678  0.336
Al  0.343  0.678  0.664
Al  0.500  0.000  0.500
Al  0.657  0.322  0.336
Al  0.986  0.322  0.664
Ni  0.163  0.887  0.276
Ni  0.297  0.500  0.797
Ni  0.389  0.113  0.276
Ni  0.611  0.887  0.724
Ni  0.703  0.500  0.203
Ni  0.837  0.113  0.724



3.
This entry pairs a crystal structure of PmAl8Ni2 with its simulated powder diffractogram. Radiation: Cu Kα (weighted mean of Kα1 and Kα2). Structure: a structure optimized by DFT (GGA-PBE).

Most intense lines, 10° ≤ 2θ ≤ 80°, in order of rising 2θ:
2θ (°), d [Å], I/Imax
15.84, 5.595, 42
19.44, 4.567, 51
25.17, 3.538, 100
27.63, 3.229, 22
37.72, 2.385, 29
39.46, 2.284, 65
41.15, 2.194, 27
45.88, 1.978, 34
53.04, 1.726, 25
63.32, 1.469, 21

Structural model:
a = 5.595 Å, b = 5.595 Å, c = 7.908 Å
α = 90.00°, β = 90.00°, γ = 90.00°
Element x y z (fractional)
Pm  0.000  0.000  0.000
Al  0.249  0.249  0.323
Al  0.249  0.249  0.677
Al  0.249  0.751  0.323
Al  0.249  0.751  0.677
Al  0.751  0.249  0.323
Al  0.751  0.249  0.677
Al  0.751  0.751  0.323
Al  0.751  0.751  0.677
Ni  0.000  0.500  0.500
Ni  0.500  0.000  0.500